1.
# Sc6TlSn
Computed powder diffractogram, a wavelength of 1.5418 Å. Input: DFT lattice parameters and positions (PBE).
No peak broadening, texture or thermal motion is included.

Cell and atoms:
```
Sc6TlSn
1.0
5.692 0.000 0.000
0.000 5.692 0.000
0.000 0.000 5.692
Sc Tl Sn
6 1 1
Direct
0.000 0.250 0.500
0.000 0.750 0.500
0.250 0.500 0.000
0.500 0.000 0.250
0.500 0.000 0.750
0.750 0.500 0.000
0.000 0.000 0.000
0.500 0.500 0.500
```

The 10 most intense peaks (2θ = 10–90°), most intense first:
38.8 deg, I 100
22.1 deg, I 64
60.9 deg, I 53
31.4 deg, I 44
35.3 deg, I 29
50.7 deg, I 16
74.6 deg, I 15
78.9 deg, I 13
87.4 deg, I 12
45.1 deg, I 11


2.
# Sc2TlSn
Computed powder diffractogram, a wavelength of 1.5418 Å. Input: DFT lattice parameters and positions (PBE).
No peak broadening, texture or thermal motion is included.

Cell and atoms:
```
Sc2TlSn
1.0
6.005 0.000 0.000
0.000 6.004 0.000
-2.867 0.000 10.835
Sc Tl Sn
8 4 4
Direct
0.178 0.127 0.129
0.178 0.873 0.629
0.307 0.375 0.870
0.307 0.625 0.370
0.693 0.375 0.630
0.693 0.625 0.130
0.822 0.127 0.371
0.822 0.873 0.871
0.334 0.125 0.399
0.334 0.875 0.899
0.666 0.125 0.101
0.666 0.875 0.601
0.177 0.372 0.596
0.177 0.628 0.096
0.823 0.372 0.904
0.823 0.628 0.404
```

The 10 most intense peaks (2θ = 10–90°), most intense first:
39.0 deg, I 100
42.6 deg, I 98
30.9 deg, I 91
24.2 deg, I 71
33.1 deg, I 71
24.4 deg, I 67
38.8 deg, I 53
31.0 deg, I 52
39.3 deg, I 46
21.3 deg, I 44


3.
# Sc2TlSn
Computed powder diffractogram, a wavelength of 1.5418 Å. Input: DFT lattice parameters and positions (PBE).
No peak broadening, texture or thermal motion is included.

Cell and atoms:
```
Sc2TlSn
1.0
4.644 0.000 0.000
0.000 4.644 0.000
0.000 0.000 4.291
Sc Tl Sn
2 1 1
Direct
0.000 0.500 0.000
0.500 0.000 0.000
0.000 0.000 0.500
0.500 0.500 0.500
```

The 10 most intense peaks (2θ = 10–90°), most intense first:
34.4 deg, I 100
38.8 deg, I 36
27.2 deg, I 28
67.4 deg, I 28
20.7 deg, I 27
58.6 deg, I 21
44.4 deg, I 16
42.1 deg, I 14
56.0 deg, I 12
72.0 deg, I 12


4.
# ScTlSn
Computed powder diffractogram, a wavelength of 1.5418 Å. Input: DFT lattice parameters and positions (PBE).
No peak broadening, texture or thermal motion is included.

Cell and atoms:
```
ScTlSn
1.0
3.336 0.000 0.000
0.000 3.336 0.000
0.000 0.000 7.005
Sc Tl Sn
1 1 1
Direct
0.000 0.000 0.000
0.500 0.500 0.703
0.500 0.500 0.283
```

The 10 most intense peaks (2θ = 10–90°), most intense first:
37.2 deg, I 100
26.7 deg, I 83
38.1 deg, I 59
29.7 deg, I 37
25.4 deg, I 35
68.3 deg, I 34
46.4 deg, I 30
55.4 deg, I 22
55.0 deg, I 20
12.6 deg, I 19


5.
# Sc3TlSn
Computed powder diffractogram, a wavelength of 1.5418 Å. Input: DFT lattice parameters and positions (PBE).
No peak broadening, texture or thermal motion is included.

Cell and atoms:
```
Sc3TlSn
1.0
-4.479 8.635 3.194
4.479 -8.635 3.194
4.479 8.635 -3.194
Sc Tl Sn
12 4 4
Direct
0.048 0.252 0.300
0.071 0.250 0.821
0.144 0.619 0.762
0.356 0.119 0.475
0.429 0.250 0.179
0.452 0.752 0.204
0.548 0.248 0.796
0.571 0.750 0.821
0.644 0.881 0.525
0.856 0.381 0.238
0.929 0.750 0.179
0.952 0.748 0.700
0.250 0.250 0.000
0.250 0.750 0.500
0.750 0.250 0.500
0.750 0.750 0.000
0.211 0.306 0.517
0.289 0.806 0.094
0.711 0.194 0.906
0.789 0.694 0.483
```

The 10 most intense peaks (2θ = 10–90°), most intense first:
34.5 deg, I 100
22.4 deg, I 93
20.6 deg, I 68
29.8 deg, I 64
40.5 deg, I 62
35.7 deg, I 48
10.2 deg, I 47
37.1 deg, I 39
31.1 deg, I 28
47.1 deg, I 27


6.
# TmSc2Sn2
Computed powder diffractogram, a wavelength of 1.5418 Å. Input: DFT lattice parameters and positions (PBE).
No peak broadening, texture or thermal motion is included.

Cell and atoms:
```
TmSc2Sn2
1.0
4.959 0.000 0.000
-2.480 4.295 0.000
0.000 0.000 16.937
Tm Sc Sn
3 6 6
Direct
0.000 0.000 0.000
0.333 0.667 0.667
0.667 0.333 0.333
0.000 0.000 0.204
0.000 0.000 0.796
0.333 0.667 0.462
0.333 0.667 0.871
0.667 0.333 0.129
0.667 0.333 0.538
0.000 0.000 0.409
0.000 0.000 0.591
0.333 0.667 0.075
0.333 0.667 0.258
0.667 0.333 0.742
0.667 0.333 0.925
```

The 10 most intense peaks (2θ = 10–90°), most intense first:
33.7 deg, I 100
36.2 deg, I 85
23.2 deg, I 38
50.3 deg, I 32
63.6 deg, I 32
58.6 deg, I 18
65.2 deg, I 15
15.7 deg, I 15
86.6 deg, I 14
82.3 deg, I 14